This entry pairs a crystal structure of S with its calculated XRD peak list. Radiation: Cu Kα (weighted mean of Kα1 and Kα2). Structure: a crystal structure in the Materials Project, relaxed with PBE.

Structure:
Lattice parameters (Å, degrees): 6.0594 10.3438 15.5444 95.14 97.95 100.78
Atoms (fractional coordinates):
S 0.0024 0.3866 0.3729
S 0.0229 0.1640 0.7819
S 0.0365 0.9473 0.1169
S 0.0830 0.0495 0.6754
S 0.1594 0.5738 0.3520
S 0.1944 0.3727 0.0831
S 0.2103 0.0044 0.4163
S 0.2149 0.3232 0.4688
S 0.2976 0.5640 0.1451
S 0.3759 0.1932 0.4043
S 0.3823 0.9880 0.1120
S 0.4120 0.5636 0.2765
S 0.4745 0.8207 0.8332
S 0.4836 0.2993 0.0688
S 0.5164 0.7007 0.9312
S 0.5255 0.1793 0.1668
S 0.5880 0.4364 0.7235
S 0.6177 0.0120 0.8880
S 0.6241 0.8068 0.5957
S 0.7024 0.4360 0.8549
S 0.7851 0.6768 0.5312
S 0.7897 0.9956 0.5837
S 0.8056 0.6273 0.9169
S 0.8406 0.4262 0.6480
S 0.9170 0.9505 0.3246
S 0.9635 0.0527 0.8831
S 0.9771 0.8360 0.2181
S 0.9976 0.6134 0.6271

The 10 most intense peaks (2θ = 15–90°), in order of rising 2θ:
2theta  intensity  h k l
15.8  18  1 -1 0
17.0  86  1 0 1
20.4  100  0 1 3
20.8  56  1 1 1
21.2  59  1 0 -3
21.5  28  -1 2 1
21.6  65  1 -2 1
23.3  35  0 0 4
31.2  23  -1 2 4
32.8  19  -2 1 3